1.
The following is a theoretical powder XRD pattern of SiO2. It was derived from a DFT-relaxed cell (PBE, the Materials Project), using CuKα.
Kinematic intensities with the Lorentz-polarization factor, no thermal factor.

Largest 6 diffraction maxima, sorted by position, 5° ≤ 2θ ≤ 70°:
(hkl)  d [Å]  2theta  I_rel
1 1 1  4.094  21.71  26
0 2 2  4.007  22.19  91
1 1 3  3.229  27.63  100
1 3 5  1.973  45.99  29
2 0 6  1.716  53.39  9
2 2 8  1.399  66.86  10

Structural model:
```
data_SiO2
_cell_length_a 4.763
_cell_length_b 9.519
_cell_length_c 14.851
_cell_angle_alpha 90.00
_cell_angle_beta 90.00
_cell_angle_gamma 90.00
_symmetry_space_group_name_H-M 'F d d d'
_symmetry_Int_Tables_number 70
loop_
_symmetry_equiv_pos_as_xyz
'x,y,z'
'-x,-y,-z'
'-x+1/4,-y+1/4,z'
'x+1/4,y+1/4,-z'
'x,-y+1/4,-z+1/4'
'-x,y+1/4,z+1/4'
'-x+1/4,y,-z+1/4'
'x+1/4,-y,z+1/4'
'x,y+1/2,z+1/2'
'-x,-y+1/2,-z+1/2'
'-x+1/4,-y+3/4,z+1/2'
'x+1/4,y+3/4,-z+1/2'
'x,-y+3/4,-z+3/4'
'-x,y+3/4,z+3/4'
'-x+1/4,y+1/2,-z+3/4'
'x+1/4,-y+1/2,z+3/4'
'x+1/2,y,z+1/2'
'-x+1/2,-y,-z+1/2'
'-x+3/4,-y+1/4,z+1/2'
'x+3/4,y+1/4,-z+1/2'
'x+1/2,-y+1/4,-z+3/4'
'-x+1/2,y+1/4,z+3/4'
'-x+3/4,y,-z+3/4'
'x+3/4,-y,z+3/4'
'x+1/2,y+1/2,z'
'-x+1/2,-y+1/2,-z'
'-x+3/4,-y+3/4,z'
'x+3/4,y+3/4,-z'
'x+1/2,-y+3/4,-z+1/4'
'-x+1/2,y+3/4,z+1/4'
'-x+3/4,y+1/2,-z+1/4'
'x+3/4,-y+1/2,z+1/4'
loop_
_atom_site_label
_atom_site_type_symbol
_atom_site_fract_x
_atom_site_fract_y
_atom_site_fract_z
Si1 Si 0.125 0.125 0.312
O1 O 0.000 0.000 0.000
O2 O 0.125 0.311 0.625
```

---

2.
The following is a theoretical powder XRD pattern of TiNi4N4. It was derived from a DFT-relaxed cell (PBE, the Materials Project), using CuKα.
Kinematic intensities with the Lorentz-polarization factor, no thermal factor.

Largest 6 diffraction maxima, sorted by position, 5° ≤ 2θ ≤ 70°:
(hkl)  d [Å]  2theta  I_rel
0 1 -2  2.460  36.53  81
0 2 1  2.437  36.88  93
1 1 3  2.430  36.99  80
2 0 0  2.399  37.48  100
2 2 1  2.318  38.85  99
-1 1 3  1.930  47.07  78

Structural model:
```
data_TiNi4N4
_cell_length_a 5.402
_cell_length_b 5.477
_cell_length_c 7.508
_cell_angle_alpha 68.76
_cell_angle_beta 77.10
_cell_angle_gamma 62.94
_symmetry_space_group_name_H-M 'P -1'
_symmetry_Int_Tables_number 2
loop_
_symmetry_equiv_pos_as_xyz
'x,y,z'
'-x,-y,-z'
loop_
_atom_site_label
_atom_site_type_symbol
_atom_site_fract_x
_atom_site_fract_y
_atom_site_fract_z
Ti1 Ti 0.235 0.078 0.224
Ni1 Ni 0.179 0.317 0.811
Ni2 Ni 0.250 0.527 0.452
Ni3 Ni 0.280 0.923 0.627
Ni4 Ni 0.299 0.625 0.072
N1 N 0.062 0.824 0.240
N2 N 0.092 0.699 0.643
N3 N 0.370 0.317 0.986
N4 N 0.470 0.158 0.599
```

---

3.
The following is a theoretical powder XRD pattern of MnGeAs2. It was derived from a DFT-relaxed cell (PBE, the Materials Project), using CuKα.
Kinematic intensities with the Lorentz-polarization factor, no thermal factor.

Largest 6 diffraction maxima, sorted by position, 5° ≤ 2θ ≤ 70°:
(hkl)  d [Å]  2theta  I_rel
1 1 2  3.341  26.69  100
2 2 0  2.063  43.89  25
2 0 4  2.037  44.47  48
3 1 2  1.755  52.11  30
1 1 6  1.724  53.13  14
4 0 0  1.459  63.81  8

Structural model:
```
data_MnGeAs2
_cell_length_a 5.835
_cell_length_b 5.835
_cell_length_c 11.384
_cell_angle_alpha 90.00
_cell_angle_beta 90.00
_cell_angle_gamma 90.00
_symmetry_space_group_name_H-M 'I -4 2 d'
_symmetry_Int_Tables_number 122
_symmetry_space_group_name_Hall 'I -4 2bw'
loop_
_atom_site_label
_atom_site_type_symbol
_atom_site_fract_x
_atom_site_fract_y
_atom_site_fract_z
Mn1 Mn 0.000 0.000 0.000
Ge1 Ge 0.000 0.000 0.500
As1 As 0.245 0.750 0.625
```

---

4.
The following is a theoretical powder XRD pattern of NaW6NCl18. It was derived from a DFT-relaxed cell (PBE, the Materials Project), using CuKα.
Kinematic intensities with the Lorentz-polarization factor, no thermal factor.

Largest 6 diffraction maxima, sorted by position, 5° ≤ 2θ ≤ 70°:
(hkl)  d [Å]  2theta  I_rel
0 0 2  9.156  9.66  22
1 0 0  7.970  11.10  16
1 0 1  7.307  12.11  100
1 0 5  3.328  26.79  11
1 2 2  2.863  31.24  9
1 2 6  2.144  42.15  17

Structural model:
```
data_NaW6NCl18
_cell_length_a 9.2024
_cell_length_b 9.2024
_cell_length_c 18.3112
_cell_angle_alpha 90.00
_cell_angle_beta 90.00
_cell_angle_gamma 120.00
_symmetry_space_group_name_H-M 'P 63/m'
_symmetry_Int_Tables_number 176
_symmetry_space_group_name_Hall '-P 6c'
loop_
_atom_site_label
_atom_site_type_symbol
_atom_site_fract_x
_atom_site_fract_y
_atom_site_fract_z
Na1 Na 0.0000 0.0000 0.0000
W1 W 0.1824 0.4872 0.1653
N1 N 0.3333 0.6667 0.2500
Cl1 Cl 0.0289 0.7632 0.6027
Cl2 Cl 0.0490 0.5689 0.7500
Cl3 Cl 0.0910 0.8050 0.2500
Cl4 Cl 0.1144 0.6323 0.0742
```

---

5.
The following is a theoretical powder XRD pattern of La3InN. It was derived from a DFT-relaxed cell (PBE, the Materials Project), using CuKα.
Kinematic intensities with the Lorentz-polarization factor, no thermal factor.

Largest 6 diffraction maxima, sorted by position, 5° ≤ 2θ ≤ 70°:
(hkl)  d [Å]  2theta  I_rel
1 0 0  5.137  17.26  1
1 1 1  2.966  30.13  100
2 0 0  2.569  34.93  56
2 2 0  1.816  50.23  39
3 1 1  1.549  59.70  43
2 2 2  1.483  62.64  13

Structural model:
```
data_La3InN
_cell_length_a 5.137
_cell_length_b 5.137
_cell_length_c 5.137
_cell_angle_alpha 90.00
_cell_angle_beta 90.00
_cell_angle_gamma 90.00
_symmetry_space_group_name_H-M 'P m -3 m'
_symmetry_Int_Tables_number 221
_symmetry_space_group_name_Hall '-P 4 2 3'
loop_
_atom_site_label
_atom_site_type_symbol
_atom_site_fract_x
_atom_site_fract_y
_atom_site_fract_z
La1 La 0.000 0.000 0.500
In1 In 0.500 0.500 0.500
N1 N 0.000 0.000 0.000
```

---

6.
The following is a theoretical powder XRD pattern of CaMn3Al9. It was derived from a DFT-relaxed cell (PBE, the Materials Project), using CuKα.
Kinematic intensities with the Lorentz-polarization factor, no thermal factor.

Largest 6 diffraction maxima, sorted by position, 5° ≤ 2θ ≤ 70°:
(hkl)  d [Å]  2theta  I_rel
0 2 1  4.463  19.89  75
1 3 1  2.591  34.62  28
2 2 0  2.247  40.13  92
0 4 2  2.232  40.41  100
2 2 -2  2.226  40.53  50
2 4 -1  2.008  45.16  91

Structural model:
```
data_CaMn3Al9
_cell_length_a 5.169
_cell_length_b 12.734
_cell_length_c 6.737
_cell_angle_alpha 90.00
_cell_angle_beta 111.68
_cell_angle_gamma 90.00
_symmetry_space_group_name_H-M 'C 1 2/m 1'
_symmetry_Int_Tables_number 12
loop_
_symmetry_equiv_pos_as_xyz
'x,y,z'
'-x,-y,-z'
'-x,y,-z'
'x,-y,z'
'x+1/2,y+1/2,z'
'-x+1/2,-y+1/2,-z'
'-x+1/2,y+1/2,-z'
'x+1/2,-y+1/2,z'
loop_
_atom_site_label
_atom_site_type_symbol
_atom_site_fract_x
_atom_site_fract_y
_atom_site_fract_z
Ca1 Ca 0.000 0.000 0.000
Mn1 Mn 0.000 0.500 0.500
Mn2 Mn 0.250 0.250 0.000
Al1 Al 0.000 0.000 0.500
Al2 Al 0.098 0.384 0.221
Al3 Al 0.174 0.175 0.335
```

---

7.
The following is a theoretical powder XRD pattern of UCl3. It was derived from a DFT-relaxed cell (PBE, the Materials Project), using CuKα.
Kinematic intensities with the Lorentz-polarization factor, no thermal factor.

Largest 6 diffraction maxima, sorted by position, 5° ≤ 2θ ≤ 70°:
(hkl)  d [Å]  2theta  I_rel
1 0 0  6.510  13.60  100
1 1 0  3.759  23.67  63
1 0 1  3.562  25.00  90
2 0 1  2.585  34.70  83
0 0 2  2.130  42.44  92
2 3 1  1.409  66.34  36

Structural model:
```
data_UCl3
_cell_length_a 7.5176
_cell_length_b 7.5176
_cell_length_c 4.2555
_cell_angle_alpha 90.00
_cell_angle_beta 90.00
_cell_angle_gamma 120.00
_symmetry_space_group_name_H-M 'P 63/m'
_symmetry_Int_Tables_number 176
_symmetry_space_group_name_Hall '-P 6c'
loop_
_atom_site_label
_atom_site_type_symbol
_atom_site_fract_x
_atom_site_fract_y
_atom_site_fract_z
U1 U 0.3333 0.6667 0.2500
Cl1 Cl 0.0849 0.3891 0.7500
```

---

8.
The following is a theoretical powder XRD pattern of TiCl3. It was derived from a DFT-relaxed cell (PBE, the Materials Project), using CuKα.
Kinematic intensities with the Lorentz-polarization factor, no thermal factor.

Largest 6 diffraction maxima, sorted by position, 5° ≤ 2θ ≤ 70°:
(hkl)  d [Å]  2theta  I_rel
0 0 2  6.277  14.11  63
1 0 1  4.878  18.19  31
1 1 2  2.748  32.59  100
1 1 4  2.190  41.23  52
3 0 0  1.765  51.81  26
2 -1 6  1.726  53.04  25

Structural model:
```
data_TiCl3
_cell_length_a 6.1126
_cell_length_b 6.1126
_cell_length_c 12.5535
_cell_angle_alpha 90.00
_cell_angle_beta 90.00
_cell_angle_gamma 120.00
_symmetry_space_group_name_H-M 'P -3 1 c'
_symmetry_Int_Tables_number 163
_symmetry_space_group_name_Hall '-P 3 2c'
loop_
_atom_site_label
_atom_site_type_symbol
_atom_site_fract_x
_atom_site_fract_y
_atom_site_fract_z
Ti1 Ti 0.0000 0.0000 0.2500
Ti2 Ti 0.3333 0.6667 0.2500
Cl1 Cl 0.0195 0.3335 0.1382
```